# 1
Structure and simulated X-ray powder pattern of PbI2 (a crystal structure in the Materials Project, relaxed with GGA-PBE; CuKα).
Intensities are scaled so that the largest is 1000.

The 10 most intense peaks (2θ from 5° to 70°), in order of falling intensity:
2θ (°), d [Å], I/Imax, h k l
25.94, 3.435, 1000, 1 0 7
11.69, 7.572, 583, 0 0 6
38.51, 2.338, 487, 1 1 0
40.42, 2.232, 485, 0 1 17
63.21, 1.471, 227, 1 1 24
23.32, 3.814, 221, 1 0 4
30.93, 2.891, 206, 0 1 11
33.88, 2.646, 206, 1 0 13
29.55, 3.023, 202, 1 0 10
47.02, 1.933, 201, 0 2 7

Crystal structure
```
data_PbI2
_cell_length_a 4.6756
_cell_length_b 4.6756
_cell_length_c 45.4309
_cell_angle_alpha 90.00
_cell_angle_beta 90.00
_cell_angle_gamma 120.00
_symmetry_space_group_name_H-M 'R -3 m'
_symmetry_Int_Tables_number 166
_symmetry_space_group_name_Hall '-R 3 2"'
loop_
_atom_site_label
_atom_site_fract_x
_atom_site_fract_y
_atom_site_fract_z
Pb1 0.0000 0.0000 0.0830
I1 0.0000 0.0000 0.2093
I2 0.0000 0.0000 0.3753
```



# 2
Structure and simulated X-ray powder pattern of U2Al9Ir3 (a crystal structure in the Materials Project, relaxed with GGA-PBE; CuKα).
Intensities are scaled so that the largest is 1000.

The 10 most intense peaks (2θ from 5° to 70°), in order of falling intensity:
2θ (°), d [Å], I/Imax, h k l
30.24, 2.955, 1000, 3 1 2
40.95, 2.204, 630, 3 3 0
30.12, 2.967, 516, 0 2 2
25.28, 3.523, 383, 3 1 1
37.19, 2.418, 349, 3 1 3
57.31, 1.608, 342, 3 3 4
38.29, 2.350, 323, 0 0 4
41.24, 2.189, 302, 6 0 0
51.90, 1.762, 274, 6 2 2
64.28, 1.449, 250, 0 2 6

Crystal structure
```
data_U2Al9Ir3
_cell_length_a 13.135
_cell_length_b 7.652
_cell_length_c 9.402
_cell_angle_alpha 90.00
_cell_angle_beta 90.00
_cell_angle_gamma 90.00
_symmetry_space_group_name_H-M 'C m c m'
_symmetry_Int_Tables_number 63
_symmetry_space_group_name_Hall '-C 2c 2'
loop_
_atom_site_label
_atom_site_fract_x
_atom_site_fract_y
_atom_site_fract_z
U1 0.163 0.168 0.250
Al1 0.000 0.127 0.750
Al2 0.000 0.335 0.056
Al3 0.104 0.443 0.750
Al4 0.166 0.169 0.574
Ir1 0.000 0.000 0.000
Ir2 0.173 0.500 0.000
```



# 3
Structure and simulated X-ray powder pattern of LaNi2GeP (a crystal structure in the Materials Project, relaxed with GGA-PBE; CuKα).
Intensities are scaled so that the largest is 1000.

The 10 most intense peaks (2θ from 5° to 70°), in order of falling intensity:
2θ (°), d [Å], I/Imax, h k l
35.93, 2.500, 1000, 1 1 2
34.94, 2.568, 766, 1 0 3
44.21, 2.049, 550, 2 0 0
57.55, 1.602, 356, 2 1 3
23.50, 3.785, 216, 1 0 1
51.30, 1.781, 199, 1 0 5
65.12, 1.432, 198, 1 1 6
64.30, 1.449, 173, 2 2 0
70.00, 1.344, 155, 2 1 5
30.86, 2.897, 135, 1 1 0

Crystal structure
```
data_LaNi2GeP
_cell_length_a 4.097
_cell_length_b 4.097
_cell_length_c 9.887
_cell_angle_alpha 90.00
_cell_angle_beta 90.00
_cell_angle_gamma 90.00
_symmetry_space_group_name_H-M 'I 4 m m'
_symmetry_Int_Tables_number 107
_symmetry_space_group_name_Hall 'I 4 -2'
loop_
_atom_site_label
_atom_site_fract_x
_atom_site_fract_y
_atom_site_fract_z
La1 0.000 0.000 0.000
Ni1 0.000 0.500 0.242
Ge1 0.000 0.000 0.369
P1 0.000 0.000 0.633
```



# 4
Structure and simulated X-ray powder pattern of Mg5As (a crystal structure in the Materials Project, relaxed with GGA-PBE; CuKα).
Intensities are scaled so that the largest is 1000.

The 10 most intense peaks (2θ from 5° to 70°), in order of falling intensity:
2θ (°), d [Å], I/Imax, h k l
36.74, 2.446, 1000, 1 1 3
34.91, 2.570, 489, 2 0 0
39.17, 2.300, 401, 1 0 6
11.47, 7.716, 397, 0 0 2
32.18, 2.781, 273, 0 1 3
63.82, 1.459, 202, 3 1 3
20.77, 4.277, 192, 1 0 2
48.22, 1.887, 171, 2 1 3
60.86, 1.522, 135, 0 1 9
67.35, 1.390, 135, 2 2 0

Crystal structure
```
data_Mg5As
_cell_length_a 5.138
_cell_length_b 3.306
_cell_length_c 15.432
_cell_angle_alpha 90.00
_cell_angle_beta 90.00
_cell_angle_gamma 90.00
_symmetry_space_group_name_H-M 'A m m 2'
_symmetry_Int_Tables_number 38
loop_
_symmetry_equiv_pos_as_xyz
'x,y,z'
'-x,-y,z'
'-x,y,z'
'x,-y,z'
'x,y+1/2,z+1/2'
'-x,-y+1/2,z+1/2'
'-x,y+1/2,z+1/2'
'x,-y+1/2,z+1/2'
loop_
_atom_site_label
_atom_site_fract_x
_atom_site_fract_y
_atom_site_fract_z
Mg1 0.000 0.000 0.000
Mg2 0.000 0.000 0.321
Mg3 0.500 0.000 0.112
Mg4 0.500 0.000 0.441
Mg5 0.500 0.000 0.773
As1 0.000 0.000 0.666
```



# 5
Structure and simulated X-ray powder pattern of Y5Ir3 (a crystal structure in the Materials Project, relaxed with GGA-PBE; CuKα).
Intensities are scaled so that the largest is 1000.

The 10 most intense peaks (2θ from 5° to 70°), in order of falling intensity:
2θ (°), d [Å], I/Imax, h k l
36.67, 2.451, 1000, 4 2 0
22.87, 3.889, 580, 2 1 1
33.45, 2.679, 450, 2 1 2
46.90, 1.937, 323, 4 4 0
38.30, 2.350, 305, 3 1 2
32.64, 2.744, 281, 3 2 1
46.42, 1.956, 275, 2 1 3
29.33, 3.046, 215, 3 1 1
37.37, 2.406, 202, 3 0 2
25.73, 3.462, 174, 3 1 0

Crystal structure
```
data_Y5Ir3
_cell_length_a 10.949
_cell_length_b 10.949
_cell_length_c 6.402
_cell_angle_alpha 90.00
_cell_angle_beta 90.00
_cell_angle_gamma 90.00
_symmetry_space_group_name_H-M 'P 4/n c c'
_symmetry_Int_Tables_number 130
loop_
_symmetry_equiv_pos_as_xyz
'x,y,z'
'-x,-y,-z'
'-y+1/2,x,z'
'y+1/2,-x,-z'
'-x+1/2,-y+1/2,z'
'x+1/2,y+1/2,-z'
'y,-x+1/2,z'
'-y,x+1/2,-z'
'x+1/2,-y,-z+1/2'
'-x+1/2,y,z+1/2'
'-y,-x,-z+1/2'
'y,x,z+1/2'
'-x,y+1/2,-z+1/2'
'x,-y+1/2,z+1/2'
'y+1/2,x+1/2,-z+1/2'
'-y+1/2,-x+1/2,z+1/2'
loop_
_atom_site_label
_atom_site_fract_x
_atom_site_fract_y
_atom_site_fract_z
Y1 0.041 0.162 0.122
Y2 0.250 0.750 0.000
Ir1 0.097 0.597 0.750
Ir2 0.250 0.250 0.377
```



# 6
Structure and simulated X-ray powder pattern of KCoCu3Se4 (a crystal structure in the Materials Project, relaxed with GGA-PBE; CuKα).
Intensities are scaled so that the largest is 1000.

The 10 most intense peaks (2θ from 5° to 70°), in order of falling intensity:
2θ (°), d [Å], I/Imax, h k l
42.44, 2.130, 1000, 2 2 0
25.61, 3.478, 984, 1 1 1
14.71, 6.024, 547, 1 0 0
50.23, 1.816, 356, 3 1 1
54.96, 1.671, 194, 3 2 0
36.54, 2.459, 150, 2 1 1
45.15, 2.008, 136, 2 2 1
61.58, 1.506, 128, 4 0 0
65.77, 1.420, 103, 4 1 1
67.81, 1.382, 95, 3 3 1

Crystal structure
```
data_KCoCu3Se4
_cell_length_a 6.024
_cell_length_b 6.024
_cell_length_c 6.024
_cell_angle_alpha 90.00
_cell_angle_beta 90.00
_cell_angle_gamma 90.00
_symmetry_space_group_name_H-M 'P -4 3 m'
_symmetry_Int_Tables_number 215
_symmetry_space_group_name_Hall 'P -4 2 3'
loop_
_atom_site_label
_atom_site_fract_x
_atom_site_fract_y
_atom_site_fract_z
K1 0.000 0.000 0.000
Co1 0.500 0.500 0.500
Cu1 0.000 0.500 0.500
Se1 0.284 0.284 0.716
```



# 7
Structure and simulated X-ray powder pattern of CaSn2O4 (a crystal structure in the Materials Project, relaxed with GGA-PBE; CuKα).
Intensities are scaled so that the largest is 1000.

The 10 most intense peaks (2θ from 5° to 70°), in order of falling intensity:
2θ (°), d [Å], I/Imax, h k l
15.90, 5.574, 1000, 0 0 3
31.13, 2.873, 983, 2 2 1
30.85, 2.898, 939, 2 0 -1
36.96, 2.432, 877, 2 0 -4
29.66, 3.012, 791, 0 2 -1
31.40, 2.849, 671, 0 1 -5
14.81, 5.980, 643, 0 1 1
30.31, 2.948, 633, 1 1 5
29.08, 3.070, 502, -1 1 3
32.11, 2.788, 485, 0 0 6

Crystal structure
```
data_CaSn2O4
_cell_length_a 6.593
_cell_length_b 7.017
_cell_length_c 16.779
_cell_angle_alpha 85.85
_cell_angle_beta 89.72
_cell_angle_gamma 62.65
_symmetry_space_group_name_H-M 'P 1'
_symmetry_Int_Tables_number 1
loop_
_symmetry_equiv_pos_as_xyz
'x,y,z'
loop_
_atom_site_label
_atom_site_fract_x
_atom_site_fract_y
_atom_site_fract_z
Ca1 0.000 0.000 0.000
Ca2 0.003 0.012 0.625
Ca3 0.334 0.332 0.665
Ca4 0.638 0.697 0.337
Ca5 0.650 0.689 0.963
Ca6 0.980 0.055 0.257
Sn1 0.159 0.682 0.456
Sn2 0.161 0.177 0.453
Sn3 0.292 0.396 0.925
Sn4 0.304 0.370 0.295
Sn5 0.320 0.855 0.797
Sn6 0.476 0.538 0.134
Sn7 0.497 0.006 0.122
Sn8 0.639 0.690 0.594
Sn9 0.664 0.152 0.467
Sn10 0.817 0.856 0.794
Sn11 0.841 0.318 0.788
Sn12 0.975 0.541 0.131
O1 0.023 0.469 0.371
O2 0.024 0.015 0.386
O3 0.121 0.282 0.213
O4 0.135 0.729 0.732
O5 0.154 0.149 0.723
O6 0.160 0.661 0.205
O7 0.266 0.463 0.060
O8 0.311 0.302 0.532
O9 0.317 0.881 0.529
O10 0.351 0.831 0.061
O11 0.409 0.550 0.361
O12 0.411 0.069 0.355
O13 0.427 0.600 0.886
O14 0.518 0.960 0.861
O15 0.592 0.284 0.222
O16 0.609 0.768 0.724
O17 0.652 0.688 0.195
O18 0.698 0.150 0.723
O19 0.782 0.891 0.565
O20 0.790 0.404 0.070
O21 0.813 0.829 0.058
O22 0.871 0.276 0.521
O23 0.960 0.605 0.885
O24 0.996 0.005 0.862
```



# 8
Structure and simulated X-ray powder pattern of Tm5Ga3 (a crystal structure in the Materials Project, relaxed with GGA-PBE; CuKα).
Intensities are scaled so that the largest is 1000.

The 10 most intense peaks (2θ from 5° to 70°), in order of falling intensity:
2θ (°), d [Å], I/Imax, h k l
35.33, 2.541, 1000, 1 5 1
32.18, 2.781, 791, 3 1 0
34.84, 2.575, 780, 1 3 -2
36.64, 2.453, 567, 3 3 0
35.58, 2.523, 563, 2 0 2
34.93, 2.569, 551, 2 4 -1
34.60, 2.592, 347, 2 0 -2
30.75, 2.908, 279, 1 1 2
27.91, 3.196, 278, 0 0 2
24.19, 3.679, 246, 0 4 0

Crystal structure
```
data_Tm5Ga3
_cell_length_a 8.500
_cell_length_b 14.719
_cell_length_c 6.402
_cell_angle_alpha 90.00
_cell_angle_beta 91.67
_cell_angle_gamma 90.00
_symmetry_space_group_name_H-M 'C 1 2/m 1'
_symmetry_Int_Tables_number 12
loop_
_symmetry_equiv_pos_as_xyz
'x,y,z'
'-x,-y,-z'
'-x,y,-z'
'x,-y,z'
'x+1/2,y+1/2,z'
'-x+1/2,-y+1/2,-z'
'-x+1/2,y+1/2,-z'
'x+1/2,-y+1/2,z'
loop_
_atom_site_label
_atom_site_fract_x
_atom_site_fract_y
_atom_site_fract_z
Tm1 0.000 0.147 0.000
Tm2 0.000 0.183 0.500
Tm3 0.123 0.379 0.238
Tm4 0.234 0.500 0.729
Ga1 0.095 0.000 0.693
Ga2 0.201 0.298 0.786
```